Y3Ho3Ni4: calculated powder X-ray diffraction pattern (a wavelength of 1.5418 Å), based on a cell relaxed with GGA-PBE.

Crystal structure
```
data_Y3Ho3Ni4
_symmetry_space_group_name_H-M 'P 1'
_symmetry_Int_Tables_number 1
_symmetry_space_group_name_Hall 'P 1'
_cell_length_a 3.9340
_cell_length_b 7.4671
_cell_length_c 7.4671
_cell_angle_alpha 90.10
_cell_angle_beta 90.00
_cell_angle_gamma 90.00
loop_
_atom_site_label
_atom_site_fract_x
_atom_site_fract_y
_atom_site_fract_z
Y1 0.0000 0.0000 0.0000
Y2 0.0000 0.1688 0.4998
Y3 0.0000 0.4998 0.1688
Ho1 0.0000 0.6694 0.6694
Ho2 0.5000 0.3353 0.8336
Ho3 0.5000 0.8336 0.3353
Ni1 0.5000 0.2106 0.2106
Ni2 0.5000 0.4605 0.4605
Ni3 0.5000 0.7094 0.9556
Ni4 0.5000 0.9556 0.7094
```

Principal peaks in the range 2θ from 5° to 70°, by intensity:
35.3°, 2.546 Å, I 100; 38.1°, 2.361 Å, I 70; 33.1°, 2.708 Å, I 66; 61.3°, 1.511 Å, I 34; 28.3°, 3.155 Å, I 33; 46.1°, 1.967 Å, I 23; 33.9°, 2.641 Å, I 20; 57.4°, 1.607 Å, I 19; 68.4°, 1.372 Å, I 17; 44.8°, 2.025 Å, I 12; 55.0°, 1.669 Å, I 10; 55.9°, 1.645 Å, I 10